No. 1
# Hf2Be9V
Theoretical powder diffractogram, Cu Kα X-rays. Input: a crystal structure in Alexandria, relaxed with PBE.
Neutral-atom scattering factors, no anomalous dispersion.

Peak list (10 most intense, 10° ≤ 2θ ≤ 90°, low angle first)
7.172 Å, I = 100
3.895 Å, I = 89
3.189 Å, I = 64
2.428 Å, I = 62
2.286 Å, I = 56
2.225 Å, I = 36
2.178 Å, I = 36
1.928 Å, I = 24
1.346 Å, I = 19
1.215 Å, I = 19

Lattice parameters (Å, degrees): 7.642 7.642 7.642 34.82 34.82 34.82
Positions (direct):
1 Hf 0.138 0.138 0.138
2 Hf 0.862 0.862 0.862
3 Be 0.075 0.578 0.578
4 Be 0.334 0.334 0.334
5 Be 0.422 0.422 0.925
6 Be 0.422 0.925 0.422
7 Be 0.500 0.500 0.500
8 Be 0.578 0.075 0.578
9 Be 0.578 0.578 0.075
10 Be 0.666 0.666 0.666
11 Be 0.925 0.422 0.422
12 V 0.000 0.000 0.000

No. 2
# HfBeZn
Theoretical powder diffractogram, Cu Kα X-rays. Input: a crystal structure in Alexandria, relaxed with PBE.
Neutral-atom scattering factors, no anomalous dispersion.

Peak list (10 most intense, 10° ≤ 2θ ≤ 90°, low angle first)
3.784 Å, I = 34
3.242 Å, I = 30
3.188 Å, I = 24
2.438 Å, I = 100
2.417 Å, I = 34
2.362 Å, I = 33
2.237 Å, I = 43
2.216 Å, I = 51
1.892 Å, I = 32
1.403 Å, I = 33

Lattice parameters (Å, degrees): 11.097 3.784 6.282 90.00 90.00 90.00
Positions (direct):
1 Hf 0.036 0.000 0.236
2 Hf 0.250 0.000 0.872
3 Hf 0.464 0.000 0.236
4 Hf 0.536 0.000 0.764
5 Hf 0.750 0.000 0.128
6 Hf 0.964 0.000 0.764
7 Be 0.092 0.500 0.955
8 Be 0.250 0.000 0.441
9 Be 0.408 0.500 0.955
10 Be 0.592 0.500 0.045
11 Be 0.750 0.000 0.559
12 Be 0.908 0.500 0.045
13 Zn 0.125 0.500 0.572
14 Zn 0.250 0.500 0.209
15 Zn 0.375 0.500 0.572
16 Zn 0.625 0.500 0.428
17 Zn 0.750 0.500 0.791
18 Zn 0.875 0.500 0.428

No. 3
# Hf2ZrBe6
Theoretical powder diffractogram, Cu Kα X-rays. Input: a crystal structure in Alexandria, relaxed with PBE.
Neutral-atom scattering factors, no anomalous dispersion.

Peak list (10 most intense, 10° ≤ 2θ ≤ 90°, low angle first)
3.282 Å, I = 100
3.210 Å, I = 29
2.295 Å, I = 89
1.895 Å, I = 27
1.641 Å, I = 14
1.632 Å, I = 25
1.461 Å, I = 22
1.442 Å, I = 18
1.225 Å, I = 13
1.157 Å, I = 20

Lattice parameters (Å, degrees): 6.564 6.564 3.210 90.00 90.00 120.00
Positions (direct):
1 Hf 0.333 0.667 0.000
2 Hf 0.667 0.333 0.000
3 Zr 0.000 0.000 0.000
4 Be 0.000 0.334 0.500
5 Be 0.000 0.666 0.500
6 Be 0.334 0.000 0.500
7 Be 0.334 0.334 0.500
8 Be 0.666 0.000 0.500
9 Be 0.666 0.666 0.500